MnTc4O12: simulated powder XRD pattern (Cu Ka), based on a cell relaxed with PBE+U.
Intensities are scaled so that the largest is 100.

Structure:
Cell lengths 6.4994, 6.4994, 6.4994 Å; angles 109.99, 109.94, 108.49 degrees
Fractional positions:
Mn 0.0000 0.0000 0.0000
Tc 0.0000 0.0000 0.5000
Tc 0.0000 0.5000 0.0000
Tc 0.5000 0.0000 0.0000
Tc 0.5000 0.5000 0.5000
O 0.0365 0.2936 0.7429
O 0.1886 0.1882 0.3768
O 0.1886 0.8118 0.0004
O 0.2943 0.0454 0.7512
O 0.2943 0.5431 0.2488
O 0.4493 0.7064 0.7429
O 0.5507 0.2936 0.2571
O 0.7057 0.4569 0.7512
O 0.7057 0.9546 0.2488
O 0.8114 0.1882 0.9996
O 0.8114 0.8118 0.6232
O 0.9635 0.7064 0.2571

Top 10 peaks for 2θ from 10° to 80°, most intense first:
23.86 deg, I 100.0; 33.68 deg, I 86.6; 23.42 deg, I 52.2; 60.64 deg, I 37.6; 33.99 deg, I 32.3; 48.84 deg, I 29.3; 54.85 deg, I 24.2; 54.20 deg, I 19.4; 60.04 deg, I 17.7; 47.90 deg, I 15.2